# 1
NpTi4N6: calculated XRD peak list (a wavelength of 1.5418 Å), based on a structure optimized by DFT (PBE).
Intensities are scaled so that the largest is 100.

Cell lengths 5.227, 5.227, 15.188 Å; angles 90.00, 90.00, 146.20 degrees
Element x y z (fractional)
Np 0.162 0.838 0.750
Np 0.838 0.162 0.250
Ti 0.097 0.903 0.128
Ti 0.097 0.903 0.372
Ti 0.363 0.637 0.046
Ti 0.363 0.637 0.454
Ti 0.637 0.363 0.546
Ti 0.637 0.363 0.954
Ti 0.903 0.097 0.628
Ti 0.903 0.097 0.872
N 0.000 0.000 0.000
N 0.000 0.000 0.500
N 0.175 0.825 0.250
N 0.269 0.731 0.586
N 0.269 0.731 0.914
N 0.462 0.538 0.160
N 0.462 0.538 0.340
N 0.538 0.462 0.660
N 0.538 0.462 0.840
N 0.731 0.269 0.086
N 0.731 0.269 0.414
N 0.825 0.175 0.750

Peak list (10 most intense, 2θ = 5–70°, low angle first)
d [Å]  intensity
7.594  100
4.750  88
3.797  27
3.558  59
2.855  34
2.715  42
2.596  88
2.521  87
2.154  99
1.932  28

***

# 2
Tm3NpN4: calculated XRD peak list (a wavelength of 1.5418 Å), based on a structure optimized by DFT (PBE).
Intensities are scaled so that the largest is 100.

Cell lengths 5.914, 6.818, 5.904 Å; angles 90.00, 109.58, 90.00 degrees
Element x y z (fractional)
Tm 0.000 0.123 0.250
Tm 0.000 0.373 0.750
Tm 0.000 0.627 0.250
Tm 0.000 0.877 0.750
Tm 0.500 0.124 0.750
Tm 0.500 0.876 0.250
Np 0.500 0.373 0.250
Np 0.500 0.627 0.750
N 0.253 0.130 0.006
N 0.253 0.870 0.506
N 0.255 0.377 0.499
N 0.255 0.623 0.999
N 0.745 0.377 0.001
N 0.745 0.623 0.501
N 0.747 0.130 0.494
N 0.747 0.870 0.994

Peak list (10 most intense, 2θ = 5–70°, low angle first)
d [Å]  intensity
5.572  1
4.312  1
2.784  100
2.411  68
1.705  39
1.704  8
1.455  15
1.453  30
1.393  12
1.391  4

***

# 3
TmNp5N6: calculated XRD peak list (a wavelength of 1.5418 Å), based on a structure optimized by DFT (PBE).
Intensities are scaled so that the largest is 100.

Cell lengths 5.963, 5.963, 5.964 Å; angles 99.56, 99.56, 120.00 degrees
Element x y z (fractional)
Tm 0.000 0.000 0.000
Np 0.166 0.834 0.500
Np 0.333 0.667 0.000
Np 0.500 0.500 0.500
Np 0.667 0.333 0.000
Np 0.834 0.166 0.500
N 0.082 0.415 0.248
N 0.249 0.249 0.750
N 0.415 0.082 0.248
N 0.585 0.918 0.752
N 0.751 0.751 0.250
N 0.918 0.585 0.752

Peak list (6 most intense, 2θ = 5–70°, low angle first)
d [Å]  intensity
2.812  100
2.435  65
1.722  46
1.469  23
1.468  23
1.406  16

***

# 4
NpU2N4: calculated XRD peak list (a wavelength of 1.5418 Å), based on a structure optimized by DFT (PBE).
Intensities are scaled so that the largest is 100.

Cell lengths 6.873, 6.873, 6.873 Å; angles 60.00, 60.00, 60.00 degrees
Element x y z (fractional)
Np 0.125 0.125 0.125
Np 0.875 0.875 0.875
U 0.000 0.500 0.500
U 0.500 0.000 0.500
U 0.500 0.500 0.000
U 0.500 0.500 0.500
N 0.264 0.264 0.264
N 0.264 0.264 0.708
N 0.264 0.708 0.264
N 0.292 0.736 0.736
N 0.708 0.264 0.264
N 0.736 0.292 0.736
N 0.736 0.736 0.292
N 0.736 0.736 0.736

Peak list (10 most intense, 2θ = 5–70°, low angle first)
d [Å]  intensity
5.612  5
3.437  27
2.931  100
2.806  32
2.430  8
1.984  12
1.871  39
1.718  38
1.482  14
1.465  16

***

# 5
Np2UN3: calculated XRD peak list (a wavelength of 1.5418 Å), based on a structure optimized by DFT (PBE).
Intensities are scaled so that the largest is 100.

Cell lengths 3.444, 3.444, 14.585 Å; angles 90.00, 90.00, 90.00 degrees
Element x y z (fractional)
Np 0.000 0.000 0.167
Np 0.000 0.000 0.833
Np 0.500 0.500 0.333
Np 0.500 0.500 0.667
U 0.000 0.000 0.500
U 0.500 0.500 0.000
N 0.000 0.000 0.000
N 0.000 0.000 0.334
N 0.000 0.000 0.666
N 0.500 0.500 0.166
N 0.500 0.500 0.500
N 0.500 0.500 0.834

Peak list (5 most intense, 2θ = 5–70°, low angle first)
d [Å]  intensity
2.810  100
2.434  65
1.721  46
1.468  46
1.405  16

***

# 6
NpU3N4: calculated XRD peak list (a wavelength of 1.5418 Å), based on a structure optimized by DFT (PBE).
Intensities are scaled so that the largest is 100.

Cell lengths 5.953, 6.881, 5.965 Å; angles 90.00, 109.44, 90.00 degrees
Element x y z (fractional)
Np 0.000 0.125 0.250
Np 0.000 0.875 0.750
U 0.000 0.375 0.750
U 0.000 0.625 0.250
U 0.500 0.125 0.750
U 0.500 0.374 0.250
U 0.500 0.626 0.750
U 0.500 0.875 0.250
N 0.252 0.377 0.503
N 0.252 0.623 0.003
N 0.254 0.127 0.000
N 0.254 0.873 0.500
N 0.746 0.127 0.500
N 0.746 0.873 0.000
N 0.748 0.377 0.997
N 0.748 0.623 0.497

Peak list (7 most intense, 2θ = 5–70°, low angle first)
d [Å]  intensity
2.809  100
2.433  65
1.720  46
1.467  42
1.466  4
1.405  12
1.403  4

***

# 7
NpV2N4: calculated XRD peak list (a wavelength of 1.5418 Å), based on a structure optimized by DFT (PBE).
Intensities are scaled so that the largest is 100.

Cell lengths 5.072, 5.072, 9.777 Å; angles 90.00, 90.00, 145.28 degrees
Element x y z (fractional)
Np 0.115 0.885 0.750
Np 0.885 0.115 0.250
V 0.376 0.624 0.561
V 0.376 0.624 0.939
V 0.624 0.376 0.061
V 0.624 0.376 0.439
N 0.000 0.000 0.000
N 0.000 0.000 0.500
N 0.266 0.734 0.113
N 0.266 0.734 0.387
N 0.433 0.567 0.750
N 0.567 0.433 0.250
N 0.734 0.266 0.613
N 0.734 0.266 0.887

Peak list (10 most intense, 2θ = 5–70°, low angle first)
d [Å]  intensity
4.889  44
4.338  100
2.770  55
2.703  87
2.487  59
2.420  28
2.153  60
2.012  30
1.619  21
1.547  24